The following is a theoretical powder diffraction line list of SrCoMoO6. It was derived from a crystal structure in Alexandria, relaxed with GGA+U, using λ = 1.5418 Å (Cu Kα).
Peak positions follow from Bragg's law for the DFT cell and can differ from measured ones.

Cell and atoms:
Lattice parameters (Å, degrees): 5.126 8.821 5.406 90.00 90.40 90.00
Space group C2 (No. 5)
Asymmetric unit:
Sr 0.000 0.000 0.000 [2 per cell]
Co 0.000 0.669 0.500 [2 per cell]
Mo 0.000 0.333 0.500 [2 per cell]
O 0.112 0.504 0.700 [4 per cell]
O 0.186 0.805 0.699 [4 per cell]
O 0.197 0.192 0.701 [4 per cell]

Top 12 peaks for 2θ from 10° to 90°, sorted by position:
2θ = 16.4°, d 5.406, I 28; 2θ = 25.9°, d 3.437, I 50; 2θ = 26.1°, d 3.417, I 100; 2θ = 33.1°, d 2.703, I 12; 2θ = 35.0°, d 2.563, I 15; 2θ = 35.2°, d 2.550, I 29; 2θ = 44.3°, d 2.044, I 18; 2θ = 48.8°, d 1.866, I 14; 2θ = 49.0°, d 1.858, I 16; 2θ = 49.2°, d 1.852, I 36; 2θ = 57.8°, d 1.594, I 17; 2θ = 62.9°, d 1.477, I 12